For Tb2Pr3Hg6, the PBE geometry in Alexandria gives the theoretical XRD peak list in this record (Cu Kα (weighted mean of Kα1 and Kα2)).
Intensities are scaled so that the largest is 100.

Main lines, sorted by position (2θ = 15–90°):
hkl 0 0 8, 21.3 deg, intensity 40
hkl 1 1 2, 28.5 deg, intensity 100
hkl 1 0 9, 31.3 deg, intensity 31
hkl 1 1 6, 32.4 deg, intensity 69
hkl 1 1 8, 35.5 deg, intensity 59
hkl 1 0 11, 35.8 deg, intensity 68
hkl 2 0 0, 40.1 deg, intensity 85
hkl 2 1 11, 54.8 deg, intensity 41
hkl 2 2 0, 57.9 deg, intensity 29
hkl 1 1 22, 68.8 deg, intensity 25

Cell and atoms:
Lattice parameters (Å, degrees): 4.502 4.502 33.221 90.00 90.00 90.00
Space group I4/mmm (No. 139)
Inequivalent atoms, fractional coordinates:
Tb: 0.000 0.000 0.129 (multiplicity 4)
Pr: 0.000 0.000 0.318 (multiplicity 4)
Pr: 0.000 0.000 0.500 (multiplicity 2)
Hg: 0.000 0.000 0.220 (multiplicity 4)
Hg: 0.000 0.500 0.069 (multiplicity 8)

For LiLa2Sb4Pd3, the PBE geometry in Alexandria gives the theoretical XRD peak list in this record (Cu Kα (weighted mean of Kα1 and Kα2)).
Intensities are scaled so that the largest is 100.

Main lines, sorted by position (2θ = 15–90°):
hkl 1 1 0, 27.4 deg, intensity 24
hkl 1 0 3, 31.1 deg, intensity 78
hkl 1 1 2, 32.0 deg, intensity 100
hkl 2 0 0, 39.2 deg, intensity 77
hkl 1 1 4, 43.0 deg, intensity 29
hkl 1 0 5, 45.5 deg, intensity 36
hkl 2 1 3, 50.9 deg, intensity 39
hkl 2 2 0, 56.7 deg, intensity 26
hkl 2 1 5, 61.6 deg, intensity 29
hkl 3 1 2, 66.5 deg, intensity 24

Cell and atoms:
Lattice parameters (Å, degrees): 4.595 4.595 11.053 90.00 90.00 90.00
Space group P-4m2 (No. 115)
Inequivalent atoms, fractional coordinates:
Li: 0.000 0.000 0.000 (multiplicity 1)
La: 0.000 0.500 0.757 (multiplicity 2)
Sb: 0.000 0.000 0.500 (multiplicity 1)
Sb: 0.000 0.500 0.132 (multiplicity 2)
Sb: 0.500 0.500 0.500 (multiplicity 1)
Pd: 0.000 0.500 0.370 (multiplicity 2)
Pd: 0.500 0.500 0.000 (multiplicity 1)

For K5SnBi3, the PBE geometry in Alexandria gives the theoretical XRD peak list in this record (Cu Kα (weighted mean of Kα1 and Kα2)).
Intensities are scaled so that the largest is 100.

Main lines, sorted by position (2θ = 15–90°):
hkl 1 0 -4, 18.3 deg, intensity 93
hkl 0 2 0, 19.8 deg, intensity 87
hkl 2 1 -2, 20.0 deg, intensity 100
hkl 1 1 2, 20.8 deg, intensity 99
hkl 2 1 1, 25.8 deg, intensity 53
hkl 1 2 2, 27.1 deg, intensity 68
hkl 1 2 -4, 27.1 deg, intensity 86
hkl 3 0 0, 30.8 deg, intensity 55
hkl 3 0 -6, 30.8 deg, intensity 51
hkl 0 0 6, 32.5 deg, intensity 96

Cell and atoms:
Lattice parameters (Å, degrees): 10.234 8.950 19.427 90.00 121.70 90.00
Space group P2_1/c (No. 14)
Inequivalent atoms, fractional coordinates:
K: 0.053 0.006 0.245 (multiplicity 4)
K: 0.241 0.519 0.577 (multiplicity 4)
K: 0.335 0.661 0.261 (multiplicity 4)
K: 0.345 0.179 0.922 (multiplicity 4)
K: 0.378 0.003 0.586 (multiplicity 4)
Sn: 0.017 0.146 0.588 (multiplicity 4)
Bi: 0.016 0.192 0.433 (multiplicity 4)
Bi: 0.261 0.734 0.419 (multiplicity 4)
Bi: 0.315 0.238 0.731 (multiplicity 4)

For Sr2SnSb4, the PBE geometry in Alexandria gives the theoretical XRD peak list in this record (Cu Kα (weighted mean of Kα1 and Kα2)).
Intensities are scaled so that the largest is 100.

Main lines, sorted by position (2θ = 15–90°):
hkl 1 0 2, 25.1 deg, intensity 43
hkl 1 1 1, 29.3 deg, intensity 17
hkl 0 0 4, 30.4 deg, intensity 25
hkl 1 1 2, 32.2 deg, intensity 100
hkl 1 0 4, 36.6 deg, intensity 17
hkl 2 0 0, 40.5 deg, intensity 41
hkl 1 1 4, 42.0 deg, intensity 17
hkl 1 0 5, 43.5 deg, intensity 17
hkl 2 0 4, 51.4 deg, intensity 15
hkl 3 1 2, 68.4 deg, intensity 22

Cell and atoms:
Lattice parameters (Å, degrees): 4.458 4.458 11.769 90.00 90.00 90.00
Space group P-4m2 (No. 115)
Inequivalent atoms, fractional coordinates:
Sr: 0.000 0.500 0.226 (multiplicity 2)
Sn: 0.000 0.000 0.500 (multiplicity 1)
Sb: 0.000 0.000 0.000 (multiplicity 1)
Sb: 0.000 0.500 0.658 (multiplicity 2)
Sb: 0.500 0.500 0.000 (multiplicity 1)